Computed powder diffraction line list
Compound: La14HoEr
Radiation: Cu Kα (λ = 1.5418 Å)
Structure: a cell relaxed with PBE
Intensities are scaled so that the largest is 1000.

Most intense lines, 2θ from 10° to 90°, low angle first:
29.68 deg, rel. 116, hkl 2 3 1
30.16 deg, rel. 318, hkl 4 0 0
30.29 deg, rel. 1000, hkl 2 2 2
31.06 deg, rel. 223, hkl 0 4 0
42.89 deg, rel. 69, hkl 0 0 4
43.84 deg, rel. 162, hkl 4 4 0
53.31 deg, rel. 91, hkl 4 0 4
53.66 deg, rel. 211, hkl 6 2 2
54.78 deg, rel. 87, hkl 2 6 2
63.00 deg, rel. 63, hkl 4 4 4

Structural model:
Unit cell a=11.8512 b=11.5173 c=8.4350 alpha=90.00 beta=90.00 gamma=90.00
Space group Amm2 (No. 38)
Asymmetric unit:
La1 0.0000 0.0000 0.0000 x2
La2 0.0000 0.0000 0.4293 x2
La3 0.0000 0.2091 0.7446 x4
La4 0.2445 0.2144 0.0310 x8
La5 0.2577 0.0000 0.3119 x4
La6 0.2644 0.0000 0.7498 x4
La7 0.5000 0.2333 0.7549 x4
Ho1 0.5000 0.0000 0.4859 x2
Er1 0.5000 0.0000 0.0427 x2